No. 1
Structure and calculated powder X-ray diffraction pattern of NaCd3Rh (DFT lattice parameters and positions (PBE); Cu Kα X-rays).
No peak broadening, texture or thermal motion is included.

Crystal structure
a = 5.2041 Å, b = 5.2041 Å, c = 5.2041 Å
α = 90.00°, β = 90.00°, γ = 90.00°
Positions (direct):
Na 0.0000 0.0000 0.0000
Cd 0.0000 0.5000 0.5000
Cd 0.5000 0.0000 0.5000
Cd 0.5000 0.5000 0.0000
Rh 0.5000 0.5000 0.5000

Largest 10 diffraction maxima, sorted by position, 10° ≤ 2θ ≤ 80°:
17.0°, rel. 99
29.7°, rel. 61
34.5°, rel. 100
38.7°, rel. 49
49.5°, rel. 69
52.8°, rel. 25
58.9°, rel. 24
61.7°, rel. 23
64.6°, rel. 11
75.3°, rel. 14

***

No. 2
Structure and calculated powder X-ray diffraction pattern of Tb5Pm2Tl (DFT lattice parameters and positions (PBE); Cu Kα X-rays).
No peak broadening, texture or thermal motion is included.

Crystal structure
a = 7.0869 Å, b = 7.0869 Å, c = 7.0869 Å
α = 120.38°, β = 89.35°, γ = 120.38°
Positions (direct):
Tb 0.0000 0.0000 0.0000
Tb 0.5009 0.9999 0.0008
Tb 0.5009 0.5001 0.5010
Tb 0.9991 0.9999 0.4990
Tb 0.9991 0.5001 0.9992
Pm 0.0016 0.5016 0.5000
Pm 0.4990 0.4990 0.0000
Tl 0.5004 0.0004 0.5000

Largest 10 diffraction maxima, sorted by position, 10° ≤ 2θ ≤ 80°:
31.0°, rel. 100
35.6°, rel. 17
36.1°, rel. 33
51.6°, rel. 24
51.9°, rel. 12
61.1°, rel. 15
61.7°, rel. 28
64.5°, rel. 12
75.5°, rel. 2
76.5°, rel. 4

***

No. 3
Structure and calculated powder X-ray diffraction pattern of Na3TiCr3Se8 (DFT lattice parameters and positions (PBE); Cu Kα X-rays).
No peak broadening, texture or thermal motion is included.

Crystal structure
a = 8.2252 Å, b = 8.2252 Å, c = 8.2252 Å
α = 53.59°, β = 53.59°, γ = 53.59°
Positions (direct):
Na 0.0000 0.5000 0.5000
Na 0.5000 0.0000 0.5000
Na 0.5000 0.5000 0.0000
Ti 0.5000 0.5000 0.5000
Cr 0.0000 0.0000 0.5000
Cr 0.0000 0.5000 0.0000
Cr 0.5000 0.0000 0.0000
Se 0.2296 0.7368 0.7368
Se 0.2325 0.2325 0.2325
Se 0.2632 0.2632 0.7704
Se 0.2632 0.7704 0.2632
Se 0.7368 0.2296 0.7368
Se 0.7368 0.7368 0.2296
Se 0.7675 0.7675 0.7675
Se 0.7704 0.2632 0.2632

Largest 10 diffraction maxima, sorted by position, 10° ≤ 2θ ≤ 80°:
12.6°, rel. 49
29.1°, rel. 21
32.7°, rel. 100
41.1°, rel. 21
44.5°, rel. 28
49.1°, rel. 34
50.9°, rel. 7
55.9°, rel. 13
60.3°, rel. 16
68.4°, rel. 7

***

No. 4
Structure and calculated powder X-ray diffraction pattern of SrNpCu2S4 (DFT lattice parameters and positions (PBE); Cu Kα X-rays).
No peak broadening, texture or thermal motion is included.

Crystal structure
a = 6.0864 Å, b = 6.0864 Å, c = 6.0864 Å
α = 115.58°, β = 111.18°, γ = 101.94°
Positions (direct):
Sr 0.0000 0.0000 0.0000
Np 0.5000 0.5000 0.0000
Cu 0.3231 0.8231 0.5000
Cu 0.6769 0.1769 0.5000
S 0.0800 0.0480 0.5415
S 0.4935 0.9520 0.0320
S 0.5065 0.5385 0.4585
S 0.9200 0.4615 0.9680

Largest 10 diffraction maxima, sorted by position, 10° ≤ 2θ ≤ 80°:
17.3°, rel. 50
18.8°, rel. 30
25.9°, rel. 24
27.5°, rel. 19
30.0°, rel. 100
35.1°, rel. 23
36.3°, rel. 22
38.1°, rel. 52
48.3°, rel. 27
50.2°, rel. 32

***

No. 5
Structure and calculated powder X-ray diffraction pattern of LiInSn6 (DFT lattice parameters and positions (PBE); Cu Kα X-rays).
No peak broadening, texture or thermal motion is included.

Crystal structure
a = 4.5004 Å, b = 4.5004 Å, c = 10.4571 Å
α = 90.00°, β = 90.00°, γ = 90.00°
Positions (direct):
Li 0.0000 0.0000 0.0000
In 0.0000 0.0000 0.5000
Sn 0.0000 0.5000 0.2352
Sn 0.0000 0.5000 0.7648
Sn 0.5000 0.0000 0.2352
Sn 0.5000 0.0000 0.7648
Sn 0.5000 0.5000 0.0000
Sn 0.5000 0.5000 0.5000

Largest 10 diffraction maxima, sorted by position, 10° ≤ 2θ ≤ 80°:
21.5°, rel. 5
29.3°, rel. 5
33.0°, rel. 100
34.3°, rel. 21
40.1°, rel. 30
53.7°, rel. 24
58.0°, rel. 10
60.6°, rel. 15
68.3°, rel. 25
69.1°, rel. 12

***

No. 6
Structure and calculated powder X-ray diffraction pattern of KVFe2 (DFT lattice parameters and positions (PBE); Cu Kα X-rays).
No peak broadening, texture or thermal motion is included.

Crystal structure
a = 8.8036 Å, b = 8.8036 Å, c = 8.8036 Å
α = 147.57°, β = 147.57°, γ = 46.52°
Positions (direct):
K 0.3750 0.6250 0.7500
K 0.6250 0.3750 0.2500
V 0.1250 0.8750 0.2500
V 0.8750 0.1250 0.7500
Fe 0.0000 0.0000 0.0000
Fe 0.0000 0.0000 0.5000
Fe 0.0000 0.5000 0.0000
Fe 0.5000 0.0000 0.5000

Largest 10 diffraction maxima, sorted by position, 10° ≤ 2θ ≤ 80°:
18.9°, rel. 100
24.5°, rel. 34
27.9°, rel. 73
38.3°, rel. 51
42.4°, rel. 21
43.1°, rel. 20
44.5°, rel. 20
44.8°, rel. 24
50.2°, rel. 36
57.7°, rel. 42

***

No. 7
Structure and calculated powder X-ray diffraction pattern of SrPm2Hg7 (DFT lattice parameters and positions (PBE); Cu Kα X-rays).
No peak broadening, texture or thermal motion is included.

Crystal structure
a = 5.1762 Å, b = 5.1762 Å, c = 12.2662 Å
α = 90.00°, β = 90.00°, γ = 120.00°
Positions (direct):
Sr 0.0000 0.0000 0.0000
Pm 0.3333 0.6667 0.6523
Pm 0.6667 0.3333 0.4390
Hg 0.0000 0.0000 0.3007
Hg 0.0000 0.0000 0.5652
Hg 0.3333 0.6667 0.1401
Hg 0.3333 0.6667 0.3865
Hg 0.3333 0.6667 0.8938
Hg 0.6667 0.3333 0.1663
Hg 0.6667 0.3333 0.7784

Largest 10 diffraction maxima, sorted by position, 10° ≤ 2θ ≤ 80°:
29.6°, rel. 49
34.7°, rel. 100
35.5°, rel. 63
46.2°, rel. 15
50.4°, rel. 22
59.0°, rel. 14
62.1°, rel. 19
62.6°, rel. 24
64.2°, rel. 11
73.1°, rel. 12

***

No. 8
Structure and calculated powder X-ray diffraction pattern of SrIn (DFT lattice parameters and positions (PBE); Cu Kα X-rays).
No peak broadening, texture or thermal motion is included.

Crystal structure
a = 13.6850 Å, b = 6.6025 Å, c = 13.9809 Å
α = 73.71°, β = 27.59°, γ = 78.70°
Positions (direct):
Sr 0.1674 0.3038 0.4872
Sr 0.2084 0.7628 0.9462
Sr 0.3038 0.1674 0.0416
Sr 0.3276 0.6724 0.5306
Sr 0.6724 0.3276 0.4694
Sr 0.7194 0.7806 0.9224
Sr 0.7628 0.2084 0.0826
Sr 0.7806 0.7194 0.5776
In 0.1113 0.2899 0.9596
In 0.2034 0.8684 0.3711
In 0.2899 0.1113 0.6393
In 0.2904 0.6107 0.1387
In 0.6107 0.2904 0.9601
In 0.6930 0.8789 0.3816
In 0.8684 0.2034 0.5570
In 0.8789 0.6930 0.0466

Largest 10 diffraction maxima, sorted by position, 10° ≤ 2θ ≤ 80°:
13.6°, rel. 24
27.4°, rel. 23
28.4°, rel. 100
29.6°, rel. 37
32.7°, rel. 69
33.3°, rel. 19
34.5°, rel. 76
35.3°, rel. 41
53.9°, rel. 21
66.1°, rel. 21

***

No. 9
Structure and calculated powder X-ray diffraction pattern of Pr4SBr5 (DFT lattice parameters and positions (PBE); Cu Kα X-rays).
No peak broadening, texture or thermal motion is included.

Crystal structure
a = 9.5238 Å, b = 9.5238 Å, c = 8.6211 Å
α = 103.64°, β = 103.64°, γ = 24.86°
Positions (direct):
Pr 0.0013 0.0013 0.2821
Pr 0.3500 0.3500 0.4236
Pr 0.6500 0.6500 0.5764
Pr 0.9987 0.9987 0.7179
S 0.5000 0.5000 0.5000
Br 0.1648 0.1648 0.8388
Br 0.1727 0.1727 0.3257
Br 0.5000 0.5000 0.0000
Br 0.8273 0.8273 0.6743
Br 0.8352 0.8352 0.1612

Largest 10 diffraction maxima, sorted by position, 10° ≤ 2θ ≤ 80°:
10.6°, rel. 36
27.0°, rel. 15
29.7°, rel. 63
30.1°, rel. 100
41.9°, rel. 17
42.6°, rel. 33
42.9°, rel. 33
44.2°, rel. 18
54.1°, rel. 19
62.5°, rel. 11

***

No. 10
Structure and calculated powder X-ray diffraction pattern of Ce2Pd7Pt3 (DFT lattice parameters and positions (PBE); Cu Kα X-rays).
No peak broadening, texture or thermal motion is included.

Crystal structure
a = 4.1377 Å, b = 5.7177 Å, c = 8.7474 Å
α = 90.00°, β = 90.06°, γ = 90.00°
Positions (direct):
Ce 0.9999 0.0000 0.1868
Ce 0.0001 0.0000 0.8132
Pd 0.0000 0.5000 0.5000
Pd 0.5000 0.2559 0.0000
Pd 0.5000 0.2561 0.3374
Pd 0.5000 0.2561 0.6626
Pd 0.5000 0.7441 0.0000
Pd 0.5000 0.7439 0.3374
Pd 0.5000 0.7439 0.6626
Pt 0.0000 0.0000 0.5000
Pt 0.0003 0.5000 0.1667
Pt 0.9997 0.5000 0.8333

Largest 10 diffraction maxima, sorted by position, 10° ≤ 2θ ≤ 80°:
37.7°, rel. 100
38.3°, rel. 99
43.8°, rel. 34
44.4°, rel. 65
64.1°, rel. 43
65.3°, rel. 10
76.4°, rel. 13
76.7°, rel. 13
76.9°, rel. 23
77.9°, rel. 24

***

No. 11
Structure and calculated powder X-ray diffraction pattern of CrCo2Pd6 (DFT lattice parameters and positions (PBE); Cu Kα X-rays).
No peak broadening, texture or thermal motion is included.

Crystal structure
a = 8.1697 Å, b = 6.2059 Å, c = 5.9765 Å
α = 84.21°, β = 49.09°, γ = 46.70°
Positions (direct):
Cr 0.0000 0.0000 0.0000
Co 0.3196 0.3196 0.6804
Co 0.6804 0.6804 0.3196
Pd 0.0056 0.3237 0.6763
Pd 0.3237 0.0056 0.9944
Pd 0.3467 0.6533 0.3467
Pd 0.6533 0.3467 0.6533
Pd 0.6763 0.9944 0.0056
Pd 0.9944 0.6763 0.3237

Largest 10 diffraction maxima, sorted by position, 10° ≤ 2θ ≤ 80°:
31.6°, rel. 5
33.4°, rel. 9
40.5°, rel. 100
46.2°, rel. 17
47.0°, rel. 17
48.3°, rel. 14
67.1°, rel. 4
68.0°, rel. 10
69.0°, rel. 9
69.6°, rel. 9

***

No. 12
Structure and calculated powder X-ray diffraction pattern of Ca2Sn3GeRh4 (DFT lattice parameters and positions (PBE); Cu Kα X-rays).
No peak broadening, texture or thermal motion is included.

Crystal structure
a = 4.4586 Å, b = 4.4586 Å, c = 10.5941 Å
α = 90.00°, β = 90.00°, γ = 90.00°
Positions (direct):
Ca 0.0000 0.5000 0.2500
Ca 0.5000 0.0000 0.7500
Sn 0.0000 0.0000 0.0000
Sn 0.0000 0.5000 0.6315
Sn 0.5000 0.0000 0.3685
Ge 0.5000 0.5000 0.0000
Rh 0.0000 0.0000 0.5000
Rh 0.0000 0.5000 0.8771
Rh 0.5000 0.0000 0.1229
Rh 0.5000 0.5000 0.5000

Largest 10 diffraction maxima, sorted by position, 10° ≤ 2θ ≤ 80°:
16.7°, rel. 48
21.6°, rel. 66
32.3°, rel. 62
33.1°, rel. 98
40.5°, rel. 98
44.7°, rel. 100
47.5°, rel. 25
52.7°, rel. 31
58.6°, rel. 33
76.5°, rel. 42